Structure and theoretical powder diffraction line list of CeMg6Tl4 (the GGA-PBE geometry in Alexandria; a wavelength of 1.5418 Å).

The 8 most intense peaks (2θ = 15–90°), low angle first:
(1 0 1), d 3.866, 2θ 23.01, I 63
(2 0 0), d 3.641, 2θ 24.45, I 100
(1 1 1), d 3.091, 2θ 28.88, I 84
(2 0 1), d 2.846, 2θ 31.44, I 64
(2 1 1), d 2.357, 2θ 38.19, I 48
(3 0 1), d 2.143, 2θ 42.17, I 46
(2 2 0), d 2.102, 2θ 43.03, I 45
(2 0 2), d 1.933, 2θ 47.01, I 36

Structural model:
a b c (Å): 8.408 8.408 4.562
angles (deg): 90.00 90.00 120.00
Sites, in units of the cell vectors:
Ce 0.000 0.000 0.000
Mg 0.206 0.413 0.500
Mg 0.206 0.794 0.500
Mg 0.536 0.071 0.000
Mg 0.536 0.464 0.000
Mg 0.587 0.794 0.500
Mg 0.929 0.464 0.000
Tl 0.333 0.667 0.000
Tl 0.372 0.186 0.500
Tl 0.814 0.186 0.500
Tl 0.814 0.628 0.500